This entry pairs a crystal structure of ReMoI2 with its simulated powder X-ray diffraction pattern. Radiation: Cu Ka. Structure: a DFT-relaxed cell (GGA-PBE, Alexandria).
Peak positions follow from Bragg's law for the DFT cell and can differ from measured ones.

Largest 7 diffraction maxima, in order of rising 2θ, 10 to 80 degrees two-theta:
2θ/deg	I_rel
22.9	6
37.8	100
44.6	3
54.5	17
59.8	2
68.2	35
73.0	1

Atomic structure:
Cell: 4.764 4.764 4.764 Å, 60.00 60.00 60.00°
Element x y z (fractional)
Re 0.000 0.000 0.000
Mo 0.500 0.500 0.500
I 0.250 0.250 0.250
I 0.750 0.750 0.750